# 1
PrTlMo2O8: theoretical XRD peak list (Cu Ka), based on a DFT-relaxed cell (GGA+U, the Materials Project).

Peak list (10 most intense, 2θ from 15° to 90°, sorted by position)
2θ 20.43, I = 60
2θ 24.28, I = 54
2θ 27.53, I = 100
2θ 28.12, I = 79
2θ 28.68, I = 81
2θ 34.09, I = 26
2θ 36.59, I = 23
2θ 44.76, I = 62
2θ 50.82, I = 38
2θ 52.48, I = 28

```
PrTlMo2O8
1.0
5.2596 0.0000 0.0000
0.0000 19.3095 0.0000
0.0000 0.0000 8.4200
Pr Tl Mo O
4 4 8 32
Direct
0.0000 0.0056 0.2500 Pr
0.0000 0.9944 0.7500 Pr
0.5000 0.4944 0.7500 Pr
0.5000 0.5056 0.2500 Pr
0.0000 0.2284 0.7500 Tl
0.0000 0.7716 0.2500 Tl
0.5000 0.2716 0.2500 Tl
0.5000 0.7284 0.7500 Tl
0.0192 0.3984 0.0132 Mo
0.0192 0.6016 0.5132 Mo
0.4808 0.1016 0.5132 Mo
0.4808 0.8984 0.0132 Mo
0.5192 0.1016 0.9868 Mo
0.5192 0.8984 0.4868 Mo
0.9808 0.3984 0.4868 Mo
0.9808 0.6016 0.9868 Mo
0.1021 0.3135 0.4801 O
0.1021 0.6865 0.9801 O
0.2209 0.4027 0.8417 O
0.2209 0.5973 0.3417 O
0.2348 0.4083 0.1803 O
0.2348 0.5917 0.6803 O
0.2476 0.4615 0.5011 O
0.2476 0.5385 0.0011 O
0.2524 0.0385 0.0011 O
0.2524 0.9615 0.5011 O
0.2652 0.0917 0.6803 O
0.2652 0.9083 0.1803 O
0.2791 0.0973 0.3417 O
0.2791 0.9027 0.8417 O
0.3979 0.1865 0.9801 O
0.3979 0.8135 0.4801 O
0.6021 0.1865 0.5199 O
0.6021 0.8135 0.0199 O
0.7209 0.0973 0.1583 O
0.7209 0.9027 0.6583 O
0.7348 0.0917 0.8197 O
0.7348 0.9083 0.3197 O
0.7476 0.0385 0.4989 O
0.7476 0.9615 0.9989 O
0.7524 0.4615 0.9989 O
0.7524 0.5385 0.4989 O
0.7652 0.4083 0.3197 O
0.7652 0.5917 0.8197 O
0.7791 0.4027 0.6583 O
0.7791 0.5973 0.1583 O
0.8979 0.3135 0.0199 O
0.8979 0.6865 0.5199 O
```

---

# 2
PrTlMo2O8: theoretical XRD peak list (Cu Ka), based on a DFT-relaxed cell (GGA+U, the Materials Project).

Peak list (10 most intense, 2θ from 15° to 90°, sorted by position)
2θ 26.83, I = 100
2θ 27.81, I = 37
2θ 39.74, I = 16
2θ 46.76, I = 24
2θ 48.60, I = 37
2θ 55.29, I = 13
2θ 60.43, I = 9
2θ 65.02, I = 9
2θ 74.79, I = 11
2θ 78.51, I = 9

```
PrTlMo2O8
1.0
6.4151 0.0000 0.0000
0.0000 6.4151 0.0000
0.0000 0.0000 9.7643
Pr Tl Mo O
2 2 4 16
Direct
0.2500 0.2500 0.2500 Pr
0.7500 0.7500 0.7500 Pr
0.2500 0.2500 0.7500 Tl
0.7500 0.7500 0.2500 Tl
0.2500 0.7500 0.0000 Mo
0.2500 0.7500 0.5000 Mo
0.7500 0.2500 0.0000 Mo
0.7500 0.2500 0.5000 Mo
0.0572 0.6353 0.6104 O
0.0572 0.8647 0.8896 O
0.1353 0.5572 0.1104 O
0.1353 0.9428 0.3896 O
0.3647 0.5572 0.3896 O
0.3647 0.9428 0.1104 O
0.4428 0.6353 0.8896 O
0.4428 0.8647 0.6104 O
0.5572 0.1353 0.3896 O
0.5572 0.3647 0.1104 O
0.6353 0.0572 0.8896 O
0.6353 0.4428 0.6104 O
0.8647 0.0572 0.6104 O
0.8647 0.4428 0.8896 O
0.9428 0.1353 0.1104 O
0.9428 0.3647 0.3896 O
```

---

# 3
PrZnMo2O6: theoretical XRD peak list (Cu Ka), based on a DFT-relaxed cell (GGA+U, the Materials Project).

Peak list (10 most intense, 2θ from 15° to 90°, sorted by position)
2θ 26.62, I = 9
2θ 30.42, I = 18
2θ 31.26, I = 100
2θ 32.51, I = 24
2θ 34.59, I = 12
2θ 44.46, I = 15
2θ 45.12, I = 17
2θ 54.83, I = 9
2θ 57.13, I = 11
2θ 57.30, I = 11

```
PrZnMo2O6
1.0
5.5084 0.0000 0.0000
0.0000 5.8774 0.0000
-5.4764 0.0000 8.1503
Pr Zn Mo O
2 2 4 12
Direct
0.0000 0.1936 0.0000 Pr
0.0000 0.8064 0.5000 Pr
0.4964 0.1362 0.4948 Zn
0.4964 0.8638 0.9948 Zn
0.2213 0.2723 0.7458 Mo
0.2213 0.7277 0.2458 Mo
0.7278 0.2626 0.2512 Mo
0.7278 0.7374 0.7512 Mo
0.0976 0.0433 0.3053 O
0.0976 0.9567 0.8053 O
0.3523 0.4409 0.1994 O
0.3523 0.5591 0.6994 O
0.4601 0.0585 0.6828 O
0.4601 0.9415 0.1828 O
0.5786 0.2490 0.9951 O
0.5786 0.7510 0.4951 O
0.8508 0.2122 0.5027 O
0.8508 0.7878 0.0027 O
0.9812 0.4400 0.8093 O
0.9812 0.5600 0.3093 O
```

---

# 4
Rb2Mo3O10: theoretical XRD peak list (Cu Ka), based on a DFT-relaxed cell (GGA+U, the Materials Project).

Peak list (10 most intense, 2θ from 15° to 90°, sorted by position)
2θ 16.03, I = 41
2θ 23.47, I = 75
2θ 24.40, I = 83
2θ 25.77, I = 100
2θ 28.72, I = 30
2θ 29.17, I = 54
2θ 30.23, I = 27
2θ 32.79, I = 34
2θ 39.98, I = 27
2θ 44.74, I = 51

```
Rb2Mo3O10
1.0
7.2930 -4.1878 0.0000
7.2930 4.1878 0.0000
-1.2893 0.0000 9.2793
Rb Mo O
4 6 20
Direct
0.0933 0.2696 0.1588 Rb
0.2696 0.0933 0.6588 Rb
0.7304 0.9067 0.3412 Rb
0.9067 0.7304 0.8412 Rb
0.2145 0.7855 0.2500 Mo
0.3217 0.4664 0.4784 Mo
0.4664 0.3217 0.9784 Mo
0.5336 0.6783 0.0216 Mo
0.6783 0.5336 0.5216 Mo
0.7855 0.2145 0.7500 Mo
0.0318 0.8639 0.1179 O
0.1361 0.9682 0.3821 O
0.1563 0.6084 0.3210 O
0.1721 0.5502 0.6166 O
0.2451 0.3575 0.9197 O
0.3575 0.2451 0.4197 O
0.3916 0.8437 0.1790 O
0.3946 0.5562 0.0927 O
0.4438 0.6054 0.4073 O
0.4498 0.8279 0.8834 O
0.5502 0.1721 0.1166 O
0.5562 0.3946 0.5927 O
0.6054 0.4438 0.9073 O
0.6084 0.1563 0.8210 O
0.6425 0.7549 0.5803 O
0.7549 0.6425 0.0803 O
0.8279 0.4498 0.3834 O
0.8437 0.3916 0.6790 O
0.8639 0.0318 0.6179 O
0.9682 0.1361 0.8821 O
```

---

# 5
Rb2Mo2O7: theoretical XRD peak list (Cu Ka), based on a DFT-relaxed cell (GGA+U, the Materials Project).

Peak list (10 most intense, 2θ from 15° to 90°, sorted by position)
2θ 26.19, I = 100
2θ 27.13, I = 27
2θ 29.31, I = 21
2θ 34.16, I = 11
2θ 40.36, I = 14
2θ 44.16, I = 9
2θ 45.63, I = 7
2θ 47.36, I = 14
2θ 50.12, I = 15
2θ 53.88, I = 7

```
Rb2Mo2O7
1.0
12.1865 0.0000 0.0000
0.0000 6.5747 5.2492
0.0000 -6.5747 5.2492
Rb Mo O
8 8 28
Direct
0.0000 0.0000 0.0000 Rb
0.2500 0.2571 0.2275 Rb
0.2500 0.2841 0.7114 Rb
0.2500 0.7306 0.2389 Rb
0.5000 0.0000 0.0000 Rb
0.7500 0.2275 0.2571 Rb
0.7500 0.2389 0.7306 Rb
0.7500 0.7114 0.2841 Rb
0.0000 0.5683 0.5683 Mo
0.0116 0.9797 0.4859 Mo
0.2500 0.8204 0.7620 Mo
0.4884 0.9797 0.4859 Mo
0.5000 0.5683 0.5683 Mo
0.5116 0.4859 0.9797 Mo
0.7500 0.7620 0.8204 Mo
0.9884 0.4859 0.9797 Mo
0.0316 0.7521 0.4682 O
0.0345 0.0965 0.6855 O
0.1003 0.0393 0.3419 O
0.1102 0.4459 0.4820 O
0.1244 0.4308 0.0192 O
0.1239 0.7030 0.7609 O
0.2500 0.9081 0.5897 O
0.2500 0.9775 0.9448 O
0.3756 0.4308 0.0192 O
0.3761 0.7030 0.7609 O
0.3898 0.4459 0.4820 O
0.3997 0.0393 0.3419 O
0.4655 0.0965 0.6855 O
0.4684 0.7521 0.4682 O
0.5316 0.4682 0.7521 O
0.5345 0.6855 0.0965 O
0.6003 0.3419 0.0393 O
0.6102 0.4820 0.4459 O
0.6244 0.0192 0.4308 O
0.6239 0.7609 0.7030 O
0.7500 0.5897 0.9081 O
0.7500 0.9448 0.9775 O
0.8756 0.0192 0.4308 O
0.8761 0.7609 0.7030 O
0.8898 0.4820 0.4459 O
0.8997 0.3419 0.0393 O
0.9655 0.6855 0.0965 O
0.9684 0.4682 0.7521 O
```

---

# 6
RbMoO3: theoretical XRD peak list (Cu Ka), based on a DFT-relaxed cell (GGA+U, the Materials Project).

Peak list (9 most intense, 2θ from 15° to 90°, sorted by position)
2θ 21.93, I = 4
2θ 31.21, I = 100
2θ 38.47, I = 2
2θ 44.72, I = 34
2θ 50.34, I = 1
2θ 55.54, I = 39
2θ 65.10, I = 20
2θ 73.96, I = 17
2θ 82.43, I = 7

```
RbMoO3
1.0
4.0529 0.0000 0.0000
0.0000 4.0529 0.0000
0.0000 0.0000 4.0529
Rb Mo O
1 1 3
Direct
0.0000 0.0000 0.0000 Rb
0.5000 0.5000 0.5000 Mo
0.0000 0.5000 0.5000 O
0.5000 0.0000 0.5000 O
0.5000 0.5000 0.0000 O
```

---

# 7
Rb2MoSO4: theoretical XRD peak list (Cu Ka), based on a DFT-relaxed cell (GGA+U, the Materials Project).

Peak list (10 most intense, 2θ from 15° to 90°, sorted by position)
2θ 16.73, I = 23
2θ 24.21, I = 70
2θ 28.85, I = 100
2θ 30.28, I = 38
2θ 38.01, I = 30
2θ 39.42, I = 18
2θ 46.83, I = 16
2θ 48.41, I = 20
2θ 51.13, I = 19
2θ 59.77, I = 16

```
Rb2MoSO4
1.0
3.0944 1.7865 11.7919
-3.0944 1.7865 11.7919
0.0000 -3.5731 11.7919
Rb Mo S O
4 2 2 8
Direct
0.1449 0.1449 0.1449 Rb
0.2745 0.2745 0.2745 Rb
0.7255 0.7255 0.7255 Rb
0.8551 0.8551 0.8551 Rb
0.4388 0.4388 0.4388 Mo
0.5612 0.5612 0.5612 Mo
0.3740 0.3740 0.3740 S
0.6260 0.6260 0.6260 S
0.0547 0.0547 0.0547 O
0.1438 0.6118 0.6118 O
0.3882 0.3882 0.8562 O
0.3882 0.8562 0.3882 O
0.6118 0.1438 0.6118 O
0.6118 0.6118 0.1438 O
0.8562 0.3882 0.3882 O
0.9453 0.9453 0.9453 O
```

---

# 8
Rb2MoS2O2: theoretical XRD peak list (Cu Ka), based on a DFT-relaxed cell (GGA+U, the Materials Project).

Peak list (10 most intense, 2θ from 15° to 90°, sorted by position)
2θ 23.77, I = 39
2θ 24.69, I = 80
2θ 25.27, I = 82
2θ 25.38, I = 100
2θ 25.86, I = 81
2θ 27.29, I = 41
2θ 29.15, I = 34
2θ 29.26, I = 69
2θ 31.51, I = 40
2θ 36.59, I = 42

```
Rb2MoS2O2
1.0
6.9055 0.0000 0.0000
0.0000 8.7286 0.0000
-6.0443 0.0000 12.8070
Rb Mo S O
8 4 8 8
Direct
0.1501 0.0193 0.2996 Rb
0.1501 0.4807 0.7996 Rb
0.3345 0.6879 0.5522 Rb
0.3345 0.8121 0.0522 Rb
0.6656 0.1879 0.9478 Rb
0.6656 0.3121 0.4478 Rb
0.8499 0.5193 0.2004 Rb
0.8499 0.9807 0.7004 Rb
0.2764 0.2122 0.5848 Mo
0.2764 0.2878 0.0848 Mo
0.7236 0.7122 0.9152 Mo
0.7236 0.7878 0.4152 Mo
0.1457 0.1598 0.9322 S
0.1457 0.3402 0.4322 S
0.4298 0.6655 0.3034 S
0.4298 0.8345 0.8034 S
0.5702 0.1655 0.1966 S
0.5702 0.3345 0.6966 S
0.8543 0.6598 0.5678 S
0.8543 0.8402 0.0678 S
0.0787 0.2102 0.6343 O
0.0787 0.2898 0.1343 O
0.3445 0.0251 0.5613 O
0.3445 0.4749 0.0613 O
0.6555 0.5251 0.9387 O
0.6555 0.9749 0.4387 O
0.9213 0.7102 0.8657 O
0.9213 0.7898 0.3657 O
```